Computed X-ray diffraction stick pattern of Nd2Y3Co2 for λ = 1.5418 Å (Cu Kα), from a DFT-relaxed cell (PBE, Alexandria).

The 6 most intense peaks (10° ≤ 2θ ≤ 90°), by angle:
2θ (°)  d/Å  I_rel  h k l
29.29  3.049  86.3  4 0 -1
29.57  3.021  64.7  2 0 -3
31.45  2.844  75.2  1 1 -2
32.44  2.760  100.0  2 0 2
32.86  2.725  69.4  3 1 -1
34.80  2.578  94.7  3 1 -2

Atomic structure:
```
data_Nd2Y3Co2
_symmetry_space_group_name_H-M 'C 1 2/m 1'
_symmetry_Int_Tables_number 12
_cell_length_a 12.273
_cell_length_b 3.655
_cell_length_c 9.083
_cell_angle_alpha 90.00
_cell_angle_beta 115.84
_cell_angle_gamma 90.00
loop_
_symmetry_equiv_pos_as_xyz
'x,y,z'
'-x,-y,-z'
'-x,y,-z'
'x,-y,z'
'x+1/2,y+1/2,z'
'-x+1/2,-y+1/2,-z'
'-x+1/2,y+1/2,-z'
'x+1/2,-y+1/2,z'
loop_
_atom_site_label
_atom_site_type_symbol
_atom_site_fract_x
_atom_site_fract_y
_atom_site_fract_z
_atom_site_occupancy
Nd1 Nd 0.172 0.000 0.302 1
Y1 Y 0.000 0.500 0.500 1
Y2 Y 0.119 0.500 0.923 1
Co1 Co 0.178 0.000 0.742 1
```

***

Computed X-ray diffraction stick pattern of PmSmDy3Ho for λ = 1.5418 Å (Cu Kα), from a DFT-relaxed cell (PBE, Alexandria).

The 6 most intense peaks (10° ≤ 2θ ≤ 90°), by angle:
2θ (°)  d/Å  I_rel  h k l
30.37  2.943  100.0  5 1 -1
31.60  2.831  53.5  0 2 0
32.98  2.716  33.4  3 1 -2
33.05  2.710  38.5  3 1 2
35.50  2.529  28.7  7 1 0
55.52  1.655  18.4  5 3 -1

Atomic structure:
```
data_PmSmDy3Ho
_symmetry_space_group_name_H-M 'C 1 2/m 1'
_symmetry_Int_Tables_number 12
_cell_length_a 19.784
_cell_length_b 5.662
_cell_length_c 6.998
_cell_angle_alpha 90.00
_cell_angle_beta 90.20
_cell_angle_gamma 90.00
loop_
_symmetry_equiv_pos_as_xyz
'x,y,z'
'-x,-y,-z'
'-x,y,-z'
'x,-y,z'
'x+1/2,y+1/2,z'
'-x+1/2,-y+1/2,-z'
'-x+1/2,y+1/2,-z'
'x+1/2,-y+1/2,z'
loop_
_atom_site_label
_atom_site_type_symbol
_atom_site_fract_x
_atom_site_fract_y
_atom_site_fract_z
_atom_site_occupancy
Pm1 Pm 0.146 0.000 0.029 1
Sm1 Sm 0.054 0.500 0.260 1
Dy1 Dy 0.022 0.000 0.743 1
Dy2 Dy 0.165 0.500 0.736 1
Dy3 Dy 0.220 0.500 0.246 1
Ho1 Ho 0.149 0.000 0.461 1
```

***

Computed X-ray diffraction stick pattern of SrAl2PW for λ = 1.5418 Å (Cu Kα), from a DFT-relaxed cell (PBE, Alexandria).

The 6 most intense peaks (10° ≤ 2θ ≤ 90°), by angle:
2θ (°)  d/Å  I_rel  h k l
16.27  5.447  44.3  0 0 1
26.65  3.344  53.5  1 1 0
31.39  2.850  100.0  1 1 1
32.89  2.724  32.5  0 0 2
38.06  2.365  46.1  2 0 0
51.15  1.786  36.8  2 0 2

Atomic structure:
```
data_SrAl2PW
_symmetry_space_group_name_H-M 'P 4/m m m'
_symmetry_Int_Tables_number 123
_symmetry_space_group_name_Hall '-P 4 2'
_cell_length_a 4.730
_cell_length_b 4.730
_cell_length_c 5.447
_cell_angle_alpha 90.00
_cell_angle_beta 90.00
_cell_angle_gamma 90.00
loop_
_atom_site_label
_atom_site_type_symbol
_atom_site_fract_x
_atom_site_fract_y
_atom_site_fract_z
_atom_site_occupancy
Sr1 Sr 0.000 0.000 0.000 1
Al1 Al 0.000 0.500 0.500 1
P1 P 0.000 0.000 0.500 1
W1 W 0.500 0.500 0.000 1
```

***

Computed X-ray diffraction stick pattern of K3Cd4Ag4 for λ = 1.5418 Å (Cu Kα), from a DFT-relaxed cell (PBE, Alexandria).

The 6 most intense peaks (10° ≤ 2θ ≤ 90°), by angle:
2θ (°)  d/Å  I_rel  h k l
14.28  6.202  100.0  1 1 0
28.79  3.101  50.0  2 2 0
32.28  2.774  80.7  3 1 0
38.40  2.344  83.3  3 2 1
43.79  2.067  74.5  3 3 0
65.62  1.423  34.4  6 1 1

Atomic structure:
```
data_K3Cd4Ag4
_symmetry_space_group_name_H-M 'I -4 3 m'
_symmetry_Int_Tables_number 217
_symmetry_space_group_name_Hall 'I -4 2 3'
_cell_length_a 8.771
_cell_length_b 8.771
_cell_length_c 8.771
_cell_angle_alpha 90.00
_cell_angle_beta 90.00
_cell_angle_gamma 90.00
loop_
_atom_site_label
_atom_site_type_symbol
_atom_site_fract_x
_atom_site_fract_y
_atom_site_fract_z
_atom_site_occupancy
K1 K 0.000 0.000 0.500 1
Cd1 Cd 0.125 0.125 0.125 1
Ag1 Ag 0.194 0.194 0.806 1
```

***

Computed X-ray diffraction stick pattern of Dy2Er6TmSc3 for λ = 1.5418 Å (Cu Kα), from a DFT-relaxed cell (PBE, Alexandria).

The 6 most intense peaks (10° ≤ 2θ ≤ 90°), by angle:
2θ (°)  d/Å  I_rel  h k l
31.70  2.823  100.0  1 3 1
31.91  2.804  32.0  0 0 4
36.83  2.441  66.2  2 0 2
52.93  1.730  23.6  0 6 0
53.21  1.722  22.1  1 3 5
63.15  1.472  26.9  3 3 3

Atomic structure:
```
data_Dy2Er6TmSc3
_symmetry_space_group_name_H-M 'C 1 2/m 1'
_symmetry_Int_Tables_number 12
_cell_length_a 5.996
_cell_length_b 10.374
_cell_length_c 11.394
_cell_angle_alpha 90.00
_cell_angle_beta 100.08
_cell_angle_gamma 90.00
loop_
_symmetry_equiv_pos_as_xyz
'x,y,z'
'-x,-y,-z'
'-x,y,-z'
'x,-y,z'
'x+1/2,y+1/2,z'
'-x+1/2,-y+1/2,-z'
'-x+1/2,y+1/2,-z'
'x+1/2,-y+1/2,z'
loop_
_atom_site_label
_atom_site_type_symbol
_atom_site_fract_x
_atom_site_fract_y
_atom_site_fract_z
_atom_site_occupancy
Dy1 Dy 0.000 0.167 0.000 1
Er1 Er 0.247 0.167 0.742 1
Er2 Er 0.247 0.500 0.742 1
Tm1 Tm 0.000 0.500 0.000 1
Sc1 Sc 0.000 0.000 0.500 1
Sc2 Sc 0.000 0.333 0.500 1
```

***

Computed X-ray diffraction stick pattern of La3Nd2Sc2 for λ = 1.5418 Å (Cu Kα), from a DFT-relaxed cell (PBE, Alexandria).

The 6 most intense peaks (10° ≤ 2θ ≤ 90°), by angle:
2θ (°)  d/Å  I_rel  h k l
30.32  2.948  50.6  0 2 1
30.60  2.922  100.0  1 1 -1
30.70  2.912  49.4  0 1 -3
34.78  2.580  72.0  1 0 2
36.70  2.449  29.5  0 3 -2
59.91  1.544  28.4  2 0 -3

Atomic structure:
```
data_La3Nd2Sc2
_symmetry_space_group_name_H-M 'P -1'
_symmetry_Int_Tables_number 2
_cell_length_a 3.640
_cell_length_b 7.807
_cell_length_c 8.749
_cell_angle_alpha 108.82
_cell_angle_beta 90.00
_cell_angle_gamma 103.45
loop_
_symmetry_equiv_pos_as_xyz
'x,y,z'
'-x,-y,-z'
loop_
_atom_site_label
_atom_site_type_symbol
_atom_site_fract_x
_atom_site_fract_y
_atom_site_fract_z
_atom_site_occupancy
La1 La 0.000 0.000 0.000 1
La2 La 0.137 0.270 0.433 1
Nd1 Nd 0.279 0.560 0.849 1
Sc1 Sc 0.428 0.855 0.278 1
```

***

Computed X-ray diffraction stick pattern of Sm3PtCl3 for λ = 1.5418 Å (Cu Kα), from a DFT-relaxed cell (PBE, Alexandria).

The 6 most intense peaks (10° ≤ 2θ ≤ 90°), by angle:
2θ (°)  d/Å  I_rel  h k l
10.65  8.309  100.0  1 1 0
30.43  2.938  83.4  4 0 0
39.09  2.304  24.3  5 1 0
43.57  2.077  59.6  4 4 0
54.07  1.696  20.3  4 4 4
71.86  1.314  24.3  8 4 0

Atomic structure:
```
data_Sm3PtCl3
_symmetry_space_group_name_H-M 'I 41 3 2'
_symmetry_Int_Tables_number 214
_symmetry_space_group_name_Hall 'I 4bd 2c 3'
_cell_length_a 11.750
_cell_length_b 11.750
_cell_length_c 11.750
_cell_angle_alpha 90.00
_cell_angle_beta 90.00
_cell_angle_gamma 90.00
loop_
_atom_site_label
_atom_site_type_symbol
_atom_site_fract_x
_atom_site_fract_y
_atom_site_fract_z
_atom_site_occupancy
Sm1 Sm 0.114 0.364 0.125 1
Pt1 Pt 0.125 0.125 0.125 1
Cl1 Cl 0.125 0.125 0.625 1
```

***

Computed X-ray diffraction stick pattern of Rb5InSb2 for λ = 1.5418 Å (Cu Kα), from a DFT-relaxed cell (PBE, Alexandria).

The 6 most intense peaks (10° ≤ 2θ ≤ 90°), by angle:
2θ (°)  d/Å  I_rel  h k l
25.04  3.556  34.6  1 0 7
27.22  3.276  24.6  0 1 8
28.05  3.181  100.0  1 1 0
31.90  2.805  25.1  1 0 10
39.49  2.282  16.2  2 0 8
49.65  1.836  20.0  3 0 0

Atomic structure:
```
data_Rb5InSb2
_symmetry_space_group_name_H-M 'R -3 m'
_symmetry_Int_Tables_number 166
_symmetry_space_group_name_Hall '-R 3 2"'
_cell_length_a 6.3613
_cell_length_b 6.3613
_cell_length_c 32.5923
_cell_angle_alpha 90.00
_cell_angle_beta 90.00
_cell_angle_gamma 120.00
loop_
_atom_site_label
_atom_site_type_symbol
_atom_site_fract_x
_atom_site_fract_y
_atom_site_fract_z
_atom_site_occupancy
Rb1 Rb 0.0000 0.0000 0.0000 1
Rb2 Rb 0.0000 0.0000 0.1248 1
Rb3 Rb 0.0000 0.0000 0.2795 1
In1 In 0.0000 0.0000 0.5000 1
Sb1 Sb 0.0000 0.0000 0.4074 1
```